(1)
Structure and theoretical powder diffraction line list of In4Hg (a cell relaxed with PBE; Cu Kα).
Intensities are scaled so that the largest is 100.

Largest 8 diffraction maxima, low angle first, 10 to 90 degrees two-theta:
| Position (°2θ) | I_rel |
| --- | --- |
| 32.73 | 100 |
| 37.47 | 34 |
| 38.95 | 15 |
| 54.04 | 12 |
| 55.16 | 22 |
| 64.63 | 27 |
| 66.63 | 12 |
| 68.59 | 12 |

Atomic structure:
Unit cell a=5.844 b=5.844 c=5.844 alpha=99.01 beta=99.01 gamma=133.38
Fractional coordinates of all 5 atoms:
In  0.101  0.703  0.803
In  0.297  0.101  0.398
In  0.703  0.899  0.602
In  0.899  0.297  0.197
Hg  0.500  0.500  0.000

(2)
Structure and theoretical powder diffraction line list of In4Hg11 (a cell relaxed with PBE; Cu Kα).
Intensities are scaled so that the largest is 100.

Largest 8 diffraction maxima, low angle first, 10 to 90 degrees two-theta:
| Position (°2θ) | I_rel |
| --- | --- |
| 30.56 | 100 |
| 31.65 | 87 |
| 32.61 | 45 |
| 33.08 | 18 |
| 33.13 | 18 |
| 33.29 | 40 |
| 37.68 | 33 |
| 40.20 | 33 |

Atomic structure:
Unit cell a=6.146 b=11.577 c=11.669 alpha=89.88 beta=89.80 gamma=77.45
Fractional coordinates of all 30 atoms:
In  0.027  0.470  0.359
In  0.027  0.971  0.141
In  0.348  0.135  0.024
In  0.348  0.635  0.476
In  0.652  0.365  0.524
In  0.652  0.865  0.976
In  0.973  0.029  0.859
In  0.973  0.530  0.641
Hg  0.090  0.902  0.405
Hg  0.091  0.401  0.095
Hg  0.176  0.330  0.828
Hg  0.177  0.830  0.673
Hg  0.237  0.267  0.557
Hg  0.237  0.766  0.943
Hg  0.302  0.708  0.209
Hg  0.303  0.207  0.291
Hg  0.448  0.060  0.763
Hg  0.449  0.559  0.737
Hg  0.500  0.000  0.500
Hg  0.500  0.500  0.000
Hg  0.551  0.441  0.263
Hg  0.552  0.940  0.237
Hg  0.697  0.793  0.709
Hg  0.698  0.292  0.791
Hg  0.763  0.234  0.057
Hg  0.763  0.733  0.443
Hg  0.823  0.170  0.327
Hg  0.824  0.670  0.172
Hg  0.909  0.599  0.905
Hg  0.910  0.098  0.595

(3)
Structure and theoretical powder diffraction line list of In7Hg4 (a cell relaxed with PBE; Cu Kα).
Intensities are scaled so that the largest is 100.

Largest 8 diffraction maxima, low angle first, 10 to 90 degrees two-theta:
| Position (°2θ) | I_rel |
| --- | --- |
| 20.80 | 38 |
| 30.93 | 32 |
| 32.67 | 42 |
| 32.79 | 42 |
| 36.44 | 100 |
| 37.53 | 33 |
| 37.67 | 32 |
| 51.28 | 17 |

Atomic structure:
Unit cell a=9.862 b=9.862 c=3.563 alpha=90.28 beta=90.28 gamma=60.00
Fractional coordinates of all 11 atoms:
In  0.000  0.000  0.000
In  0.187  0.187  0.496
In  0.187  0.626  0.502
In  0.535  0.535  0.000
In  0.535  0.931  0.000
In  0.626  0.187  0.502
In  0.931  0.535  0.000
Hg  0.333  0.333  0.000
Hg  0.334  0.833  0.500
Hg  0.833  0.334  0.500
Hg  0.833  0.833  0.500

(4)
Structure and theoretical powder diffraction line list of InHg3 (a cell relaxed with PBE; Cu Kα).
Intensities are scaled so that the largest is 100.

Largest 8 diffraction maxima, low angle first, 10 to 90 degrees two-theta:
| Position (°2θ) | I_rel |
| --- | --- |
| 20.52 | 3 |
| 23.74 | 2 |
| 33.83 | 100 |
| 39.89 | 2 |
| 48.59 | 18 |
| 60.52 | 38 |
| 71.16 | 12 |
| 81.16 | 17 |

Atomic structure:
Unit cell a=5.300 b=5.300 c=5.300 alpha=60.00 beta=60.00 gamma=60.00
Fractional coordinates of all 4 atoms:
In  0.000  0.000  0.000
Hg  0.250  0.250  0.250
Hg  0.500  0.500  0.500
Hg  0.750  0.750  0.750

(5)
Structure and theoretical powder diffraction line list of InHg4 (a cell relaxed with PBE; Cu Kα).
Intensities are scaled so that the largest is 100.

Largest 8 diffraction maxima, low angle first, 10 to 90 degrees two-theta:
| Position (°2θ) | I_rel |
| --- | --- |
| 26.74 | 100 |
| 30.97 | 94 |
| 44.37 | 71 |
| 52.56 | 49 |
| 55.09 | 25 |
| 71.17 | 20 |
| 73.31 | 33 |
| 81.69 | 25 |

Atomic structure:
Unit cell a=5.775 b=5.775 c=5.775 alpha=90.00 beta=90.00 gamma=90.00
Fractional coordinates of all 5 atoms:
In  0.000  0.000  0.000
Hg  0.000  0.000  0.500
Hg  0.000  0.500  0.000
Hg  0.500  0.000  0.000
Hg  0.500  0.500  0.500

(6)
Structure and theoretical powder diffraction line list of In3Hg8 (a cell relaxed with PBE; Cu Kα).
Intensities are scaled so that the largest is 100.

Largest 8 diffraction maxima, low angle first, 10 to 90 degrees two-theta:
| Position (°2θ) | I_rel |
| --- | --- |
| 31.87 | 100 |
| 33.96 | 85 |
| 34.67 | 40 |
| 37.81 | 32 |
| 41.86 | 24 |
| 55.45 | 21 |
| 57.66 | 19 |
| 71.44 | 20 |

Atomic structure:
Unit cell a=6.072 b=6.072 c=12.979 alpha=110.90 beta=110.90 gamma=41.64
Fractional coordinates of all 11 atoms:
In  0.000  0.000  0.000
In  0.094  0.094  0.642
In  0.906  0.906  0.358
Hg  0.179  0.179  0.273
Hg  0.274  0.274  0.910
Hg  0.364  0.364  0.543
Hg  0.454  0.454  0.181
Hg  0.546  0.546  0.819
Hg  0.636  0.636  0.457
Hg  0.726  0.726  0.090
Hg  0.821  0.821  0.727

(7)
Structure and theoretical powder diffraction line list of In3Hg2 (a cell relaxed with PBE; Cu Kα).
Intensities are scaled so that the largest is 100.

Largest 8 diffraction maxima, low angle first, 10 to 90 degrees two-theta:
| Position (°2θ) | I_rel |
| --- | --- |
| 20.33 | 36 |
| 29.69 | 54 |
| 31.07 | 37 |
| 35.59 | 100 |
| 37.41 | 31 |
| 42.94 | 38 |
| 61.12 | 17 |
| 63.93 | 17 |

Atomic structure:
Unit cell a=6.533 b=6.533 c=6.533 alpha=83.94 beta=83.94 gamma=83.94
Fractional coordinates of all 10 atoms:
In  0.066  0.750  0.434
In  0.250  0.566  0.934
In  0.434  0.066  0.750
In  0.566  0.934  0.250
In  0.750  0.434  0.066
In  0.934  0.250  0.566
Hg  0.123  0.123  0.123
Hg  0.377  0.377  0.377
Hg  0.623  0.623  0.623
Hg  0.877  0.877  0.877

(8)
Structure and theoretical powder diffraction line list of In6Hg7 (a cell relaxed with PBE; Cu Kα).
Intensities are scaled so that the largest is 100.

Largest 8 diffraction maxima, low angle first, 10 to 90 degrees two-theta:
| Position (°2θ) | I_rel |
| --- | --- |
| 16.06 | 34 |
| 32.45 | 41 |
| 33.62 | 100 |
| 34.11 | 56 |
| 34.30 | 50 |
| 36.69 | 74 |
| 39.11 | 46 |
| 60.85 | 41 |

Atomic structure:
Unit cell a=11.584 b=11.584 c=11.584 alpha=30.48 beta=30.48 gamma=30.48
Fractional coordinates of all 13 atoms:
In  0.046  0.046  0.046
In  0.152  0.152  0.152
In  0.334  0.334  0.334
In  0.666  0.666  0.666
In  0.848  0.848  0.848
In  0.954  0.954  0.954
Hg  0.083  0.588  0.588
Hg  0.412  0.412  0.917
Hg  0.412  0.917  0.412
Hg  0.500  0.500  0.500
Hg  0.588  0.083  0.588
Hg  0.588  0.588  0.083
Hg  0.917  0.412  0.412

(9)
Structure and theoretical powder diffraction line list of In5Hg7 (a cell relaxed with PBE; Cu Kα).
Intensities are scaled so that the largest is 100.

Largest 8 diffraction maxima, low angle first, 10 to 90 degrees two-theta:
| Position (°2θ) | I_rel |
| --- | --- |
| 30.88 | 59 |
| 32.43 | 100 |
| 33.03 | 37 |
| 35.32 | 39 |
| 36.46 | 45 |
| 39.14 | 35 |
| 43.87 | 25 |
| 62.71 | 23 |

Atomic structure:
Unit cell a=7.608 b=7.608 c=13.049 alpha=94.33 beta=94.33 gamma=25.82
Fractional coordinates of all 12 atoms:
In  0.000  0.000  0.000
In  0.165  0.165  0.427
In  0.354  0.354  0.129
In  0.646  0.646  0.871
In  0.835  0.835  0.573
Hg  0.026  0.026  0.248
Hg  0.177  0.177  0.667
Hg  0.326  0.326  0.880
Hg  0.500  0.500  0.500
Hg  0.674  0.674  0.120
Hg  0.823  0.823  0.333
Hg  0.974  0.974  0.752

(10)
Structure and theoretical powder diffraction line list of In24Hg5 (a cell relaxed with PBE; Cu Kα).
Intensities are scaled so that the largest is 100.

Largest 8 diffraction maxima, low angle first, 10 to 90 degrees two-theta:
| Position (°2θ) | I_rel |
| --- | --- |
| 30.59 | 13 |
| 32.49 | 100 |
| 36.03 | 24 |
| 37.69 | 14 |
| 39.30 | 15 |
| 55.59 | 13 |
| 57.97 | 22 |
| 69.12 | 10 |

Atomic structure:
Unit cell a=10.125 b=10.125 c=10.125 alpha=109.47 beta=109.47 gamma=109.47
Fractional coordinates of all 29 atoms:
In  0.000  0.193  0.380
In  0.000  0.380  0.193
In  0.000  0.412  0.693
In  0.000  0.693  0.412
In  0.188  0.807  0.807
In  0.193  0.000  0.380
In  0.193  0.380  0.000
In  0.281  0.588  0.588
In  0.307  0.307  0.719
In  0.307  0.719  0.307
In  0.380  0.000  0.193
In  0.380  0.193  0.000
In  0.412  0.000  0.693
In  0.412  0.693  0.000
In  0.588  0.281  0.588
In  0.588  0.588  0.281
In  0.620  0.620  0.812
In  0.620  0.812  0.620
In  0.693  0.000  0.412
In  0.693  0.412  0.000
In  0.719  0.307  0.307
In  0.807  0.188  0.807
In  0.807  0.807  0.188
In  0.812  0.620  0.620
Hg  0.000  0.000  0.000
Hg  0.000  0.000  0.673
Hg  0.000  0.673  0.000
Hg  0.327  0.327  0.327
Hg  0.673  0.000  0.000

(11)
Structure and theoretical powder diffraction line list of InHg4 (a cell relaxed with PBE; Cu Kα).
Intensities are scaled so that the largest is 100.

Largest 8 diffraction maxima, low angle first, 10 to 90 degrees two-theta:
| Position (°2θ) | I_rel |
| --- | --- |
| 29.52 | 65 |
| 31.95 | 44 |
| 36.37 | 100 |
| 42.24 | 25 |
| 52.38 | 22 |
| 65.44 | 43 |
| 73.39 | 22 |
| 88.50 | 22 |

Atomic structure:
Unit cell a=9.077 b=9.077 c=9.077 alpha=109.47 beta=109.47 gamma=109.47
Fractional coordinates of all 20 atoms:
In  0.000  0.000  0.675
In  0.000  0.675  0.000
In  0.325  0.325  0.325
In  0.675  0.000  0.000
Hg  0.000  0.000  0.355
Hg  0.000  0.336  0.336
Hg  0.000  0.355  0.000
Hg  0.000  0.664  0.664
Hg  0.250  0.500  0.750
Hg  0.250  0.750  0.500
Hg  0.336  0.000  0.336
Hg  0.336  0.336  0.000
Hg  0.355  0.000  0.000
Hg  0.500  0.250  0.750
Hg  0.500  0.750  0.250
Hg  0.645  0.645  0.645
Hg  0.664  0.000  0.664
Hg  0.664  0.664  0.000
Hg  0.750  0.250  0.500
Hg  0.750  0.500  0.250

(12)
Structure and theoretical powder diffraction line list of In7Hg2 (a cell relaxed with PBE; Cu Kα).
Intensities are scaled so that the largest is 100.

Largest 8 diffraction maxima, low angle first, 10 to 90 degrees two-theta:
| Position (°2θ) | I_rel |
| --- | --- |
| 31.82 | 36 |
| 32.91 | 100 |
| 37.86 | 69 |
| 53.91 | 24 |
| 55.34 | 22 |
| 63.97 | 15 |
| 65.26 | 26 |
| 65.90 | 13 |

Atomic structure:
Unit cell a=5.751 b=5.751 c=8.438 alpha=90.00 beta=90.00 gamma=120.00
Fractional coordinates of all 9 atoms:
In  0.000  0.000  0.000
In  0.000  0.335  0.673
In  0.000  0.665  0.327
In  0.335  0.000  0.673
In  0.335  0.335  0.327
In  0.665  0.000  0.327
In  0.665  0.665  0.673
Hg  0.333  0.667  0.000
Hg  0.667  0.333  0.000